1.
# CaTlIO6
Computed powder XRD pattern, copper Kα. Input: a crystal structure in Alexandria, relaxed with GGA-PBE.
No peak broadening, texture or thermal motion is included.

Principal peaks in the range 10 to 90 degrees two-theta, most intense first:
hkl 1 0 2, 25.97 deg, intensity 100
hkl 0 0 2, 18.14 deg, intensity 81
hkl 1 1 2, 37.21 deg, intensity 74
hkl 1 1 0, 32.21 deg, intensity 69
hkl 1 1 4, 49.66 deg, intensity 64
hkl 1 0 0, 18.43 deg, intensity 44
hkl 2 0 2, 41.83 deg, intensity 26
hkl 2 1 2, 53.76 deg, intensity 26
hkl 3 0 0, 57.43 deg, intensity 23
hkl 3 0 2, 60.75 deg, intensity 19

Structure:
a = 5.5583 Å, b = 5.5583 Å, c = 9.7819 Å
α = 90.00°, β = 90.00°, γ = 120.00°
Space group P-31c (No. 163)
Inequivalent atoms, fractional coordinates:
1 Ca 0.0000 0.0000 0.0000 (multiplicity 2)
2 Tl 0.3333 0.6667 0.2500 (multiplicity 2)
3 I 0.3333 0.6667 0.7500 (multiplicity 2)
4 O 0.0499 0.3867 0.6374 (multiplicity 12)

---

2.
# Nd11In9Cu4
Computed powder XRD pattern, copper Kα. Input: a crystal structure in Alexandria, relaxed with GGA-PBE.
No peak broadening, texture or thermal motion is included.

Principal peaks in the range 10 to 90 degrees two-theta, most intense first:
hkl 0 6 1, 33.53 deg, intensity 100
hkl 4 6 0, 34.02 deg, intensity 39
hkl 0 0 2, 47.42 deg, intensity 16
hkl 4 6 2, 59.63 deg, intensity 16
hkl 3 3 1, 31.83 deg, intensity 14
hkl 3 5 1, 35.72 deg, intensity 13
hkl 6 2 0, 37.09 deg, intensity 12
hkl 1 9 0, 36.63 deg, intensity 11
hkl 2 4 1, 30.71 deg, intensity 11
hkl 1 5 1, 31.30 deg, intensity 11

Structure:
a = 14.8964 Å, b = 22.3832 Å, c = 3.8343 Å
α = 90.00°, β = 90.00°, γ = 90.00°
Space group Cmmm (No. 65)
Inequivalent atoms, fractional coordinates:
1 Nd 0.0000 0.0000 0.0000 (multiplicity 2)
2 Nd 0.0000 0.1626 0.0000 (multiplicity 4)
3 Nd 0.0000 0.3731 0.0000 (multiplicity 4)
4 Nd 0.1912 0.5000 0.0000 (multiplicity 4)
5 Nd 0.2410 0.1723 0.0000 (multiplicity 8)
6 In 0.0000 0.5000 0.5000 (multiplicity 2)
7 In 0.1037 0.2655 0.5000 (multiplicity 8)
8 In 0.1480 0.0708 0.5000 (multiplicity 8)
9 Cu 0.1519 0.3993 0.5000 (multiplicity 8)

---

3.
# DyAgF4
Computed powder XRD pattern, copper Kα. Input: a crystal structure in Alexandria, relaxed with GGA-PBE.
No peak broadening, texture or thermal motion is included.

Principal peaks in the range 10 to 90 degrees two-theta, most intense first:
hkl 2 0 0, 23.76 deg, intensity 100
hkl 1 1 2, 28.89 deg, intensity 97
hkl 3 1 2, 45.08 deg, intensity 76
hkl 3 3 2, 57.54 deg, intensity 22
hkl 2 2 0, 33.85 deg, intensity 22
hkl 2 0 4, 54.05 deg, intensity 19
hkl 4 0 0, 48.62 deg, intensity 19
hkl 4 2 0, 54.81 deg, intensity 17
hkl 5 1 2, 68.46 deg, intensity 14
hkl 4 2 4, 75.64 deg, intensity 13

Structure:
a = 7.4908 Å, b = 7.4908 Å, c = 7.6118 Å
α = 90.00°, β = 90.00°, γ = 90.00°
Space group I4_1md (No. 109)
Inequivalent atoms, fractional coordinates:
1 Dy 0.0000 0.0000 0.0000 (multiplicity 4)
2 Ag 0.0000 0.0000 0.5158 (multiplicity 4)
3 F 0.0000 0.1992 0.7983 (multiplicity 8)
4 F 0.0000 0.2034 0.2182 (multiplicity 8)

---

4.
# Ca2LaNbN4
Computed powder XRD pattern, copper Kα. Input: a crystal structure in Alexandria, relaxed with GGA-PBE.
No peak broadening, texture or thermal motion is included.

Principal peaks in the range 10 to 90 degrees two-theta, most intense first:
hkl 2 2 0, 36.99 deg, intensity 100
hkl 0 2 2, 31.39 deg, intensity 82
hkl 2 0 2, 31.96 deg, intensity 77
hkl 2 2 4, 52.74 deg, intensity 64
hkl 1 0 1, 15.82 deg, intensity 51
hkl 0 0 4, 36.23 deg, intensity 51
hkl 0 1 1, 15.55 deg, intensity 28
hkl 2 4 2, 62.85 deg, intensity 24
hkl 1 2 1, 30.22 deg, intensity 22
hkl 4 2 2, 63.86 deg, intensity 22

Structure:
a = 6.7859 Å, b = 6.9649 Å, c = 9.9176 Å
α = 90.00°, β = 90.00°, γ = 90.00°
Space group Imma (No. 74)
Inequivalent atoms, fractional coordinates:
1 Ca 0.0000 0.0000 0.0000 (multiplicity 4)
2 Ca 0.2500 0.2500 0.2500 (multiplicity 4)
3 La 0.0000 0.0000 0.5000 (multiplicity 4)
4 Nb 0.2500 0.2500 0.7500 (multiplicity 4)
5 N 0.0000 0.0305 0.7506 (multiplicity 8)
6 N 0.2495 0.2500 0.9638 (multiplicity 8)

---

5.
# Li2Ni3Rh
Computed powder XRD pattern, copper Kα. Input: a crystal structure in Alexandria, relaxed with GGA-PBE.
No peak broadening, texture or thermal motion is included.

Principal peaks in the range 10 to 90 degrees two-theta, most intense first:
hkl 0 0 1, 14.23 deg, intensity 100
hkl 0 1 1, 18.88 deg, intensity 72
hkl 1 2 3, 47.42 deg, intensity 67
hkl 0 0 3, 43.61 deg, intensity 58
hkl 2 0 2, 44.15 deg, intensity 51
hkl 2 0 -1, 47.27 deg, intensity 41
hkl 1 2 0, 44.90 deg, intensity 40
hkl -1 2 2, 45.75 deg, intensity 35
hkl -1 2 1, 41.21 deg, intensity 34
hkl 2 0 1, 40.03 deg, intensity 31

Structure:
a = 4.5317 Å, b = 5.1031 Å, c = 6.8980 Å
α = 68.80°, β = 76.20°, γ = 89.24°
Space group P-1 (No. 2)
Inequivalent atoms, fractional coordinates:
1 Li 0.0328 0.0319 0.1700 (multiplicity 2)
2 Li 0.4664 0.2182 0.8257 (multiplicity 2)
3 Ni 0.0460 0.5163 0.1634 (multiplicity 2)
4 Ni 0.2401 0.3843 0.4966 (multiplicity 2)
5 Ni 0.4581 0.6844 0.8371 (multiplicity 2)
6 Rh 0.2559 0.8740 0.5044 (multiplicity 2)

---

6.
# Cs3PuCd2Br9
Computed powder XRD pattern, copper Kα. Input: a crystal structure in Alexandria, relaxed with GGA-PBE.
No peak broadening, texture or thermal motion is included.

Principal peaks in the range 10 to 90 degrees two-theta, most intense first:
hkl 2 0 2, 31.09 deg, intensity 100
hkl 2 2 0, 44.55 deg, intensity 72
hkl 1 1 0, 21.85 deg, intensity 70
hkl 0 2 1, 26.84 deg, intensity 36
hkl 3 0 0, 38.32 deg, intensity 33
hkl 4 2 2, 73.64 deg, intensity 31
hkl 1 0 1, 15.40 deg, intensity 26
hkl 0 4 2, 55.32 deg, intensity 25
hkl 2 4 4, 82.05 deg, intensity 18
hkl 4 1 0, 60.19 deg, intensity 17

Structure:
a = 8.1323 Å, b = 8.1323 Å, c = 9.9735 Å
α = 90.00°, β = 90.00°, γ = 120.00°
Space group P-3m1 (No. 164)
Inequivalent atoms, fractional coordinates:
1 Cs 0.0000 0.0000 0.0000 (multiplicity 1)
2 Cs 0.3333 0.6667 0.6813 (multiplicity 2)
3 Pu 0.0000 0.0000 0.5000 (multiplicity 1)
4 Cd 0.3333 0.6667 0.1548 (multiplicity 2)
5 Br 0.0000 0.5000 0.0000 (multiplicity 3)
6 Br 0.1688 0.3376 0.3329 (multiplicity 6)

---

7.
# NdSi4Os4
Computed powder XRD pattern, copper Kα. Input: a crystal structure in Alexandria, relaxed with GGA-PBE.
No peak broadening, texture or thermal motion is included.

Principal peaks in the range 10 to 90 degrees two-theta, most intense first:
hkl 2 1 1, 35.37 deg, intensity 100
hkl 2 0 1, 31.93 deg, intensity 61
hkl 1 0 2, 26.64 deg, intensity 52
hkl 1 0 3, 36.61 deg, intensity 43
hkl 2 1 2, 40.47 deg, intensity 43
hkl 2 0 3, 45.34 deg, intensity 41
hkl 2 2 4, 63.75 deg, intensity 39
hkl 2 2 0, 42.79 deg, intensity 36
hkl 1 0 1, 18.47 deg, intensity 24
hkl 4 0 0, 62.12 deg, intensity 23

Structure:
a = 5.9767 Å, b = 5.9767 Å, c = 8.0774 Å
α = 90.00°, β = 90.00°, γ = 90.00°
Space group P4_2/nmc (No. 137, origin choice 2)
Inequivalent atoms, fractional coordinates:
1 Nd 0.2500 0.7500 0.2500 (multiplicity 2)
2 Si 0.0535 0.2500 0.0732 (multiplicity 8)
3 Os 0.0019 0.2500 0.3728 (multiplicity 8)

---

8.
# Pr9Nd2Sm3
Computed powder XRD pattern, copper Kα. Input: a crystal structure in Alexandria, relaxed with GGA-PBE.
No peak broadening, texture or thermal motion is included.

Principal peaks in the range 10 to 90 degrees two-theta, most intense first:
hkl 2 1 2, 32.14 deg, intensity 100
hkl 2 1 1, 30.12 deg, intensity 65
hkl 2 0 3, 29.38 deg, intensity 39
hkl 1 4 0, 52.16 deg, intensity 28
hkl 0 0 4, 25.54 deg, intensity 26
hkl 1 0 5, 34.01 deg, intensity 23
hkl 2 1 3, 35.29 deg, intensity 20
hkl 1 3 5, 52.55 deg, intensity 17
hkl 1 4 4, 58.96 deg, intensity 14
hkl 3 0 4, 42.56 deg, intensity 10

Structure:
a = 9.2775 Å, b = 9.2775 Å, c = 13.9570 Å
α = 90.00°, β = 90.00°, γ = 120.00°
Space group P6_3/m (No. 176)
Inequivalent atoms, fractional coordinates:
1 Pr 0.0807 0.4799 0.2500 (multiplicity 6)
2 Pr 0.1290 0.7239 0.0402 (multiplicity 12)
3 Nd 0.3333 0.6667 0.6403 (multiplicity 4)
4 Sm 0.0797 0.2488 0.7500 (multiplicity 6)

---

9.
# Mg3Zn2Au
Computed powder XRD pattern, copper Kα. Input: a crystal structure in Alexandria, relaxed with GGA-PBE.
No peak broadening, texture or thermal motion is included.

Principal peaks in the range 10 to 90 degrees two-theta, most intense first:
hkl 1 0 3, 38.92 deg, intensity 100
hkl 1 1 0, 37.91 deg, intensity 54
hkl 1 0 0, 26.55 deg, intensity 54
hkl 2 1 3, 69.14 deg, intensity 36
hkl 0 0 3, 27.93 deg, intensity 24
hkl 1 1 3, 47.74 deg, intensity 22
hkl 1 0 1, 28.17 deg, intensity 20
hkl 2 0 0, 54.69 deg, intensity 18
hkl 1 1 6, 71.16 deg, intensity 16
hkl 1 0 2, 32.57 deg, intensity 16

Structure:
a = 3.3567 Å, b = 3.3567 Å, c = 9.5821 Å
α = 90.00°, β = 90.00°, γ = 90.00°
Space group P4/mmm (No. 123)
Inequivalent atoms, fractional coordinates:
1 Mg 0.0000 0.0000 0.0000 (multiplicity 1)
2 Mg 0.0000 0.0000 0.3345 (multiplicity 2)
3 Zn 0.5000 0.5000 0.1625 (multiplicity 2)
4 Au 0.5000 0.5000 0.5000 (multiplicity 1)

---

10.
# TbZnCrC
Computed powder XRD pattern, copper Kα. Input: a crystal structure in Alexandria, relaxed with GGA-PBE.
No peak broadening, texture or thermal motion is included.

Principal peaks in the range 10 to 90 degrees two-theta, most intense first:
hkl 1 1 2, 41.49 deg, intensity 100
hkl 1 0 1, 27.76 deg, intensity 83
hkl 1 0 3, 36.66 deg, intensity 46
hkl 0 0 4, 33.42 deg, intensity 40
hkl 2 0 0, 54.49 deg, intensity 24
hkl 2 0 4, 65.45 deg, intensity 22
hkl 1 1 6, 65.26 deg, intensity 22
hkl 2 1 1, 62.24 deg, intensity 18
hkl 1 0 5, 50.44 deg, intensity 16
hkl 2 1 3, 67.47 deg, intensity 15

Structure:
a = 3.3681 Å, b = 3.3681 Å, c = 10.7251 Å
α = 90.00°, β = 90.00°, γ = 90.00°
Space group P4/nmm (No. 129, origin choice 2)
Inequivalent atoms, fractional coordinates:
1 Tb 0.2500 0.2500 0.2361 (multiplicity 2)
2 Zn 0.2500 0.7500 0.5000 (multiplicity 2)
3 Cr 0.2500 0.7500 0.0000 (multiplicity 2)
4 C 0.2500 0.2500 0.8779 (multiplicity 2)

---

11.
# CaHfMnFe2
Computed powder XRD pattern, copper Kα. Input: a crystal structure in Alexandria, relaxed with GGA-PBE.
No peak broadening, texture or thermal motion is included.

Principal peaks in the range 10 to 90 degrees two-theta, most intense first:
hkl 1 0 1, 25.57 deg, intensity 100
hkl 0 0 1, 16.34 deg, intensity 76
hkl 1 0 0, 19.53 deg, intensity 69
hkl 2 0 0, 39.67 deg, intensity 67
hkl 2 0 2, 52.54 deg, intensity 57
hkl 0 0 2, 33.02 deg, intensity 56
hkl 2 1 1, 47.79 deg, intensity 37
hkl 1 1 0, 27.76 deg, intensity 28
hkl 2 0 1, 43.16 deg, intensity 27
hkl 2 2 2, 67.79 deg, intensity 26

Structure:
a = 4.5444 Å, b = 4.5444 Å, c = 5.4259 Å
α = 90.00°, β = 90.00°, γ = 90.00°
Space group P4/mmm (No. 123)
Inequivalent atoms, fractional coordinates:
1 Ca 0.0000 0.0000 0.0000 (multiplicity 1)
2 Hf 0.0000 0.0000 0.5000 (multiplicity 1)
3 Mn 0.5000 0.5000 0.0000 (multiplicity 1)
4 Fe 0.0000 0.5000 0.5000 (multiplicity 2)

---

12.
# U2VSi2Os5
Computed powder XRD pattern, copper Kα. Input: a crystal structure in Alexandria, relaxed with GGA-PBE.
No peak broadening, texture or thermal motion is included.

Principal peaks in the range 10 to 90 degrees two-theta, most intense first:
hkl 3 1 1, 39.24 deg, intensity 100
hkl 4 1 0, 38.45 deg, intensity 87
hkl 2 1 1, 33.04 deg, intensity 78
hkl 4 1 2, 66.95 deg, intensity 58
hkl 3 2 1, 42.59 deg, intensity 42
hkl 3 3 2, 67.74 deg, intensity 28
hkl 3 3 0, 39.61 deg, intensity 26
hkl 0 0 2, 52.53 deg, intensity 25
hkl 4 2 0, 41.85 deg, intensity 22
hkl 2 2 1, 36.87 deg, intensity 21

Structure:
a = 9.6525 Å, b = 9.6525 Å, c = 3.4841 Å
α = 90.00°, β = 90.00°, γ = 90.00°
Space group P4/mbm (No. 127)
Inequivalent atoms, fractional coordinates:
1 U 0.1762 0.3238 0.0000 (multiplicity 4)
2 V 0.0000 0.0000 0.0000 (multiplicity 2)
3 Si 0.1230 0.6230 0.0000 (multiplicity 4)
4 Os 0.0000 0.5000 0.5000 (multiplicity 2)
5 Os 0.0732 0.7937 0.5000 (multiplicity 8)